(1)
Rb2Tl6HgPb: computed XRD peak list (Cu Ka), based on a cell relaxed with PBE.
No peak broadening, texture or thermal motion is included.

Most intense lines, 5 to 70 degrees two-theta, sorted by position:
13.0 deg, 6.821 Å, intensity 100.0
25.0 deg, 3.562 Å, intensity 31.0
27.0 deg, 3.308 Å, intensity 35.3
29.0 deg, 3.076 Å, intensity 32.7
30.3 deg, 2.953 Å, intensity 64.1
34.6 deg, 2.593 Å, intensity 46.6
37.9 deg, 2.375 Å, intensity 42.3
39.6 deg, 2.274 Å, intensity 46.7
43.3 deg, 2.088 Å, intensity 37.1
67.2 deg, 1.392 Å, intensity 27.5

Atomic structure:
```
data_Rb2Tl6HgPb
_cell_length_a 14.4720
_cell_length_b 14.4720
_cell_length_c 14.4720
_cell_angle_alpha 33.54
_cell_angle_beta 33.54
_cell_angle_gamma 33.54
_symmetry_space_group_name_H-M 'P 1'
_symmetry_Int_Tables_number 1
_symmetry_space_group_name_Hall 'P 1'
loop_
_atom_site_label
_atom_site_type_symbol
_atom_site_fract_x
_atom_site_fract_y
_atom_site_fract_z
Rb1 Rb 0.1519 0.1519 0.1519
Rb2 Rb 0.2903 0.2903 0.2903
Rb3 Rb 0.7097 0.7097 0.7097
Rb4 Rb 0.8481 0.8481 0.8481
Tl1 Tl 0.1483 0.5934 0.5934
Tl2 Tl 0.1872 0.8076 0.8076
Tl3 Tl 0.1924 0.1924 0.8128
Tl4 Tl 0.1924 0.8128 0.1924
Tl5 Tl 0.4066 0.4066 0.8517
Tl6 Tl 0.4066 0.8517 0.4066
Tl7 Tl 0.5934 0.1483 0.5934
Tl8 Tl 0.5934 0.5934 0.1483
Tl9 Tl 0.8076 0.1872 0.8076
Tl10 Tl 0.8076 0.8076 0.1872
Tl11 Tl 0.8128 0.1924 0.1924
Tl12 Tl 0.8517 0.4066 0.4066
Hg1 Hg 0.0000 0.0000 0.0000
Hg2 Hg 0.5000 0.5000 0.5000
Pb1 Pb 0.3800 0.3800 0.3800
Pb2 Pb 0.6200 0.6200 0.6200
```


(2)
NpCu2AgO8: computed XRD peak list (Cu Ka), based on a cell relaxed with PBE.
No peak broadening, texture or thermal motion is included.

Most intense lines, 5 to 70 degrees two-theta, sorted by position:
18.5 deg, 4.793 Å, intensity 59.5
19.0 deg, 4.662 Å, intensity 15.0
27.1 deg, 3.296 Å, intensity 99.7
32.0 deg, 2.794 Å, intensity 100.0
33.0 deg, 2.716 Å, intensity 15.4
38.6 deg, 2.331 Å, intensity 23.4
51.0 deg, 1.790 Å, intensity 69.7
55.8 deg, 1.648 Å, intensity 15.2
60.0 deg, 1.542 Å, intensity 19.7
65.8 deg, 1.420 Å, intensity 19.0

Atomic structure:
```
data_NpCu2AgO8
_cell_length_a 5.8236
_cell_length_b 5.8236
_cell_length_c 5.8236
_cell_angle_alpha 111.05
_cell_angle_beta 111.05
_cell_angle_gamma 106.35
_symmetry_space_group_name_H-M 'P 1'
_symmetry_Int_Tables_number 1
_symmetry_space_group_name_Hall 'P 1'
loop_
_atom_site_label
_atom_site_type_symbol
_atom_site_fract_x
_atom_site_fract_y
_atom_site_fract_z
Np1 Np 0.0000 0.0000 0.0000
Cu1 Cu 0.2500 0.7500 0.5000
Cu2 Cu 0.5000 0.5000 0.0000
Ag1 Ag 0.7500 0.2500 0.5000
O1 O 0.0610 0.3549 0.2939
O2 O 0.0610 0.7671 0.7061
O3 O 0.1189 0.2933 0.8256
O4 O 0.2329 0.9390 0.2939
O5 O 0.4677 0.2933 0.1744
O6 O 0.6451 0.9390 0.7061
O7 O 0.7067 0.5323 0.8256
O8 O 0.7067 0.8811 0.1744
```


(3)
Dy4S5: computed XRD peak list (Cu Ka), based on a cell relaxed with PBE.
No peak broadening, texture or thermal motion is included.

Most intense lines, 5 to 70 degrees two-theta, sorted by position:
21.9 deg, 4.054 Å, intensity 85.1
25.8 deg, 3.454 Å, intensity 53.0
27.0 deg, 3.303 Å, intensity 46.1
32.2 deg, 2.777 Å, intensity 100.0
34.1 deg, 2.629 Å, intensity 79.0
35.0 deg, 2.561 Å, intensity 93.4
39.3 deg, 2.291 Å, intensity 61.7
41.9 deg, 2.157 Å, intensity 42.8
63.4 deg, 1.467 Å, intensity 35.9
69.7 deg, 1.348 Å, intensity 27.7

Atomic structure:
```
data_Dy4S5
_cell_length_a 7.9545
_cell_length_b 7.9545
_cell_length_c 7.9545
_cell_angle_alpha 154.00
_cell_angle_beta 118.72
_cell_angle_gamma 67.71
_symmetry_space_group_name_H-M 'P 1'
_symmetry_Int_Tables_number 1
_symmetry_space_group_name_Hall 'P 1'
loop_
_atom_site_label
_atom_site_type_symbol
_atom_site_fract_x
_atom_site_fract_y
_atom_site_fract_z
Dy1 Dy 0.0820 0.8687 0.2133
Dy2 Dy 0.3446 0.1313 0.2133
Dy3 Dy 0.6554 0.8687 0.7867
Dy4 Dy 0.9180 0.1313 0.7867
S1 S 0.0000 0.5000 0.5000
S2 S 0.2478 0.7478 0.5000
S3 S 0.3556 0.5000 0.8556
S4 S 0.6444 0.5000 0.1444
S5 S 0.7522 0.2522 0.5000
```


(4)
PmTm3Hg2: computed XRD peak list (Cu Ka), based on a cell relaxed with PBE.
No peak broadening, texture or thermal motion is included.

Most intense lines, 5 to 70 degrees two-theta, sorted by position:
29.1 deg, 3.069 Å, intensity 37.9
30.7 deg, 2.910 Å, intensity 24.0
31.8 deg, 2.815 Å, intensity 42.0
32.3 deg, 2.774 Å, intensity 100.0
34.2 deg, 2.621 Å, intensity 85.7
35.5 deg, 2.527 Å, intensity 59.0
39.2 deg, 2.298 Å, intensity 17.0
42.8 deg, 2.111 Å, intensity 21.9
48.4 deg, 1.880 Å, intensity 26.3
58.8 deg, 1.569 Å, intensity 17.3

Atomic structure:
```
data_PmTm3Hg2
_cell_length_a 5.0542
_cell_length_b 9.1943
_cell_length_c 7.1184
_cell_angle_alpha 90.00
_cell_angle_beta 90.00
_cell_angle_gamma 90.00
_symmetry_space_group_name_H-M 'P 1'
_symmetry_Int_Tables_number 1
_symmetry_space_group_name_Hall 'P 1'
loop_
_atom_site_label
_atom_site_type_symbol
_atom_site_fract_x
_atom_site_fract_y
_atom_site_fract_z
Pm1 Pm 0.0000 0.0569 0.0000
Pm2 Pm 0.0000 0.9431 0.5000
Tm1 Tm 0.0000 0.3285 0.6504
Tm2 Tm 0.0000 0.6715 0.1504
Tm3 Tm 0.5000 0.1807 0.3180
Tm4 Tm 0.5000 0.4425 0.9672
Tm5 Tm 0.5000 0.5575 0.4672
Tm6 Tm 0.5000 0.8193 0.8180
Hg1 Hg 0.0000 0.3548 0.2269
Hg2 Hg 0.0000 0.6452 0.7269
Hg3 Hg 0.5000 0.1498 0.7409
Hg4 Hg 0.5000 0.8502 0.2409
```


(5)
Nd5Sn4: computed XRD peak list (Cu Ka), based on a cell relaxed with PBE.
No peak broadening, texture or thermal motion is included.

Most intense lines, 5 to 70 degrees two-theta, sorted by position:
29.0 deg, 3.079 Å, intensity 100.0
29.2 deg, 3.055 Å, intensity 58.1
30.1 deg, 2.966 Å, intensity 33.4
30.8 deg, 2.906 Å, intensity 42.7
31.1 deg, 2.880 Å, intensity 26.4
31.8 deg, 2.813 Å, intensity 29.0
32.9 deg, 2.726 Å, intensity 50.8
33.7 deg, 2.663 Å, intensity 28.3
34.0 deg, 2.635 Å, intensity 99.5
48.2 deg, 1.887 Å, intensity 24.7

Atomic structure:
```
data_Nd5Sn4
_cell_length_a 8.3108
_cell_length_b 15.9768
_cell_length_c 8.4693
_cell_angle_alpha 90.00
_cell_angle_beta 90.00
_cell_angle_gamma 90.00
_symmetry_space_group_name_H-M 'P 1'
_symmetry_Int_Tables_number 1
_symmetry_space_group_name_Hall 'P 1'
loop_
_atom_site_label
_atom_site_type_symbol
_atom_site_fract_x
_atom_site_fract_y
_atom_site_fract_z
Nd1 Nd 0.0172 0.0990 0.1807
Nd2 Nd 0.0172 0.4010 0.1807
Nd3 Nd 0.1315 0.6204 0.3370
Nd4 Nd 0.1315 0.8796 0.3370
Nd5 Nd 0.1993 0.2500 0.5020
Nd6 Nd 0.3007 0.7500 0.0020
Nd7 Nd 0.3685 0.1204 0.8370
Nd8 Nd 0.3685 0.3796 0.8370
Nd9 Nd 0.4828 0.5990 0.6807
Nd10 Nd 0.4828 0.9010 0.6807
Nd11 Nd 0.5172 0.0990 0.3193
Nd12 Nd 0.5172 0.4010 0.3193
Nd13 Nd 0.6315 0.6204 0.1630
Nd14 Nd 0.6315 0.8796 0.1630
Nd15 Nd 0.6993 0.2500 0.9980
Nd16 Nd 0.8007 0.7500 0.4980
Nd17 Nd 0.8685 0.1204 0.6630
Nd18 Nd 0.8685 0.3796 0.6630
Nd19 Nd 0.9828 0.5990 0.8193
Nd20 Nd 0.9828 0.9010 0.8193
Sn1 Sn 0.0677 0.2500 0.8856
Sn2 Sn 0.1770 0.7500 0.6422
Sn3 Sn 0.2089 0.0417 0.5366
Sn4 Sn 0.2089 0.4583 0.5366
Sn5 Sn 0.2911 0.5417 0.0366
Sn6 Sn 0.2911 0.9583 0.0366
Sn7 Sn 0.3230 0.2500 0.1422
Sn8 Sn 0.4323 0.7500 0.3856
Sn9 Sn 0.5677 0.2500 0.6144
Sn10 Sn 0.6770 0.7500 0.8578
Sn11 Sn 0.7089 0.0417 0.9634
Sn12 Sn 0.7089 0.4583 0.9634
Sn13 Sn 0.7911 0.5417 0.4634
Sn14 Sn 0.7911 0.9583 0.4634
Sn15 Sn 0.8230 0.2500 0.3578
Sn16 Sn 0.9323 0.7500 0.1144
```